Record 1
Diffraction record for Pu4AlSb. The powder X-ray diffraction pattern is computed, not measured: it uses a PBE-relaxed structure and CuKα.
Kinematic intensities with the Lorentz-polarization factor, no thermal factor.

Structural model:
```
data_Pu4AlSb
_cell_length_a 3.134
_cell_length_b 5.017
_cell_length_c 8.855
_cell_angle_alpha 90.00
_cell_angle_beta 90.00
_cell_angle_gamma 90.00
_space_group_name_H-M_alt 'P m m 2'
_space_group_IT_number 25
_space_group_name_Hall 'P 2 -2'
loop_
_atom_site_label
_atom_site_type_symbol
_atom_site_fract_x
_atom_site_fract_y
_atom_site_fract_z
_atom_site_occupancy
Pu1 Pu 0.000 0.000 0.000 1
Pu2 Pu 0.000 0.000 0.331 1
Pu3 Pu 0.000 0.500 0.475 1
Pu4 Pu 0.000 0.500 0.820 1
Al1 Al 0.500 0.500 0.156 1
Sb1 Sb 0.500 0.000 0.655 1
```

Top 8 peaks for 2θ = 10–90°, by angle:
2θ/deg, Rel. int., hkl
20.35, 19, 0 1 1
28.48, 29, 1 0 0
35.08, 22, 1 0 2
35.27, 100, 0 1 3
35.80, 30, 0 2 0
45.95, 31, 1 1 3
63.98, 18, 0 3 3
70.58, 21, 2 1 3

***

Record 2
Diffraction record for PrAlZn11. The powder X-ray diffraction pattern is computed, not measured: it uses a PBE-relaxed structure and CuKα.
Kinematic intensities with the Lorentz-polarization factor, no thermal factor.

Structural model:
```
data_PrAlZn11
_cell_length_a 5.287
_cell_length_b 12.680
_cell_length_c 6.848
_cell_angle_alpha 90.00
_cell_angle_beta 112.52
_cell_angle_gamma 90.00
_space_group_name_H-M_alt 'C 1 2/m 1'
_space_group_IT_number 12
_space_group_name_Hall '-C 2y'
loop_
_atom_site_label
_atom_site_type_symbol
_atom_site_fract_x
_atom_site_fract_y
_atom_site_fract_z
_atom_site_occupancy
Pr1 Pr 0.000 0.000 0.000 1
Al1 Al 0.000 0.000 0.500 1
Zn1 Zn 0.000 0.500 0.500 1
Zn2 Zn 0.106 0.389 0.219 1
Zn3 Zn 0.178 0.178 0.355 1
Zn4 Zn 0.250 0.250 0.000 1
```

Top 8 peaks for 2θ = 10–90°, by angle:
2θ/deg, Rel. int., hkl
27.94, 29, 1 3 -1
33.91, 27, 2 0 -1
34.49, 57, 1 3 1
39.59, 80, 2 2 0
40.08, 86, 1 5 -1
40.25, 100, 0 4 2
44.62, 31, 2 4 -1
64.82, 23, 3 5 -1

***

Record 3
Diffraction record for K6GaPb2. The powder X-ray diffraction pattern is computed, not measured: it uses a PBE-relaxed structure and CuKα.
Kinematic intensities with the Lorentz-polarization factor, no thermal factor.

Structural model:
```
data_K6GaPb2
_cell_length_a 6.3642
_cell_length_b 6.3642
_cell_length_c 33.9807
_cell_angle_alpha 90.00
_cell_angle_beta 90.00
_cell_angle_gamma 120.00
_space_group_name_H-M_alt 'R -3 m'
_space_group_IT_number 166
_space_group_name_Hall '-R 3 2"'
loop_
_atom_site_label
_atom_site_type_symbol
_atom_site_fract_x
_atom_site_fract_y
_atom_site_fract_z
_atom_site_occupancy
K1 K 0.0000 0.0000 0.0750 1
K2 K 0.0000 0.0000 0.1958 1
K3 K 0.0000 0.0000 0.3102 1
Ga1 Ga 0.0000 0.0000 0.5000 1
Pb1 Pb 0.0000 0.0000 0.4200 1
```

Top 8 peaks for 2θ = 10–90°, by angle:
2θ/deg, Rel. int., hkl
15.65, 24, 0 0 6
16.29, 84, 1 0 1
16.91, 27, 0 1 2
26.49, 37, 0 1 8
28.04, 100, 1 1 0
32.27, 27, 1 1 6
42.75, 27, 1 1 12
49.62, 20, 3 0 0

***

Record 4
Diffraction record for AcNd8Tm6. The powder X-ray diffraction pattern is computed, not measured: it uses a PBE-relaxed structure and CuKα.
Kinematic intensities with the Lorentz-polarization factor, no thermal factor.

Structural model:
```
data_AcNd8Tm6
_cell_length_a 9.5501
_cell_length_b 9.5501
_cell_length_c 6.6407
_cell_angle_alpha 90.00
_cell_angle_beta 90.00
_cell_angle_gamma 120.00
_space_group_name_H-M_alt 'P -3'
_space_group_IT_number 147
_space_group_name_Hall '-P 3'
loop_
_atom_site_label
_atom_site_type_symbol
_atom_site_fract_x
_atom_site_fract_y
_atom_site_fract_z
_atom_site_occupancy
Ac1 Ac 0.0000 0.0000 0.0000 1
Nd1 Nd 0.0173 0.6878 0.3928 1
Nd2 Nd 0.3333 0.6667 0.6749 1
Tm1 Tm 0.0909 0.4158 0.1033 1
```

Top 8 peaks for 2θ = 10–90°, by angle:
2θ/deg, Rel. int., hkl
25.37, 44, 0 2 1
28.55, 24, 1 2 0
28.98, 21, 0 1 2
31.63, 92, 3 -1 1
32.48, 74, 3 0 0
32.85, 100, 1 1 2
49.99, 27, 3 2 1
52.55, 20, 4 1 1

***

Record 5
Diffraction record for MgCdAgSn. The powder X-ray diffraction pattern is computed, not measured: it uses a PBE-relaxed structure and CuKα.
Kinematic intensities with the Lorentz-polarization factor, no thermal factor.

Structural model:
```
data_MgCdAgSn
_cell_length_a 7.071
_cell_length_b 7.071
_cell_length_c 7.071
_cell_angle_alpha 90.00
_cell_angle_beta 90.00
_cell_angle_gamma 90.00
_space_group_name_H-M_alt 'F -4 3 m'
_space_group_IT_number 216
_space_group_name_Hall 'F -4 2 3'
loop_
_atom_site_label
_atom_site_type_symbol
_atom_site_fract_x
_atom_site_fract_y
_atom_site_fract_z
_atom_site_occupancy
Mg1 Mg 0.000 0.000 0.000 1
Cd1 Cd 0.000 0.000 0.500 1
Ag1 Ag 0.250 0.250 0.250 1
Sn1 Sn 0.250 0.250 0.750 1
```

Top 8 peaks for 2θ = 10–90°, by angle:
2θ/deg, Rel. int., hkl
21.77, 14, 1 1 1
25.19, 8, 2 0 0
35.92, 100, 2 2 0
42.40, 7, 3 1 1
51.71, 17, 4 0 0
64.57, 35, 4 2 2
76.16, 11, 4 4 0
87.19, 16, 6 2 0

***

Record 6
Diffraction record for As2SeS. The powder X-ray diffraction pattern is computed, not measured: it uses a PBE-relaxed structure and CuKα.
Kinematic intensities with the Lorentz-polarization factor, no thermal factor.

Structural model:
```
data_As2SeS
_cell_length_a 10.940
_cell_length_b 8.673
_cell_length_c 6.839
_cell_angle_alpha 90.00
_cell_angle_beta 128.42
_cell_angle_gamma 90.00
_space_group_name_H-M_alt 'C 1 2/c 1'
_space_group_IT_number 15
_space_group_name_Hall '-C 2yc'
loop_
_atom_site_label
_atom_site_type_symbol
_atom_site_fract_x
_atom_site_fract_y
_atom_site_fract_z
_atom_site_occupancy
As1 As 0.108 0.099 0.100 1
Se1 Se 0.000 0.264 0.250 1
S1 S 0.000 0.249 0.750 1
```

Top 8 peaks for 2θ = 10–90°, by angle:
2θ/deg, Rel. int., hkl
14.53, 100, 1 1 0
20.73, 57, 2 0 0
26.48, 51, 2 2 -1
26.57, 55, 1 1 1
29.95, 46, 1 1 -2
33.37, 44, 2 2 -2
39.88, 44, 3 3 -1
49.79, 26, 2 4 -2

***

Record 7
Diffraction record for Rb4Bi2O5F. The powder X-ray diffraction pattern is computed, not measured: it uses a PBE-relaxed structure and CuKα.
Kinematic intensities with the Lorentz-polarization factor, no thermal factor.

Structural model:
```
data_Rb4Bi2O5F
_cell_length_a 7.712
_cell_length_b 11.579
_cell_length_c 6.315
_cell_angle_alpha 90.00
_cell_angle_beta 90.00
_cell_angle_gamma 90.00
_space_group_name_H-M_alt 'A m m 2'
_space_group_IT_number 38
_space_group_name_Hall 'A 2 -2'
loop_
_atom_site_label
_atom_site_type_symbol
_atom_site_fract_x
_atom_site_fract_y
_atom_site_fract_z
_atom_site_occupancy
Rb1 Rb 0.000 0.186 0.000 1
Rb2 Rb 0.278 0.000 0.476 1
Bi1 Bi 0.500 0.187 0.993 1
O1 O 0.309 0.219 0.725 1
O2 O 0.500 0.000 0.082 1
F1 F 0.000 0.000 0.249 1
```

Top 8 peaks for 2θ = 10–90°, by angle:
2θ/deg, Rel. int., hkl
11.47, 58, 1 0 0
27.08, 99, 0 3 1
27.80, 44, 2 2 0
28.22, 100, 0 0 2
35.86, 27, 2 3 1
40.06, 55, 2 2 2
48.04, 43, 2 5 1
55.18, 33, 4 3 1

***

Record 8
Diffraction record for CeAu2Cl6. The powder X-ray diffraction pattern is computed, not measured: it uses a PBE-relaxed structure and CuKα.
Kinematic intensities with the Lorentz-polarization factor, no thermal factor.

Structural model:
```
data_CeAu2Cl6
_cell_length_a 13.781
_cell_length_b 14.078
_cell_length_c 6.768
_cell_angle_alpha 90.00
_cell_angle_beta 98.44
_cell_angle_gamma 90.00
_space_group_name_H-M_alt 'C 1 2/c 1'
_space_group_IT_number 15
_space_group_name_Hall '-C 2yc'
loop_
_atom_site_label
_atom_site_type_symbol
_atom_site_fract_x
_atom_site_fract_y
_atom_site_fract_z
_atom_site_occupancy
Ce1 Ce 0.000 0.092 0.250 1
Au1 Au 0.113 0.499 0.297 1
Cl1 Cl 0.107 0.056 0.612 1
Cl2 Cl 0.117 0.209 0.133 1
Cl3 Cl 0.119 0.387 0.550 1
```

Top 8 peaks for 2θ = 10–90°, by angle:
2θ/deg, Rel. int., hkl
12.58, 100, 0 2 0
12.99, 25, 2 0 0
20.01, 32, 1 3 0
20.54, 33, 3 1 0
29.13, 28, 4 2 0
32.73, 21, 1 3 -2
36.15, 20, 3 1 2
41.82, 22, 1 5 -2

***

Record 9
Diffraction record for PrHo2UO8. The powder X-ray diffraction pattern is computed, not measured: it uses a PBE-relaxed structure and CuKα.
Kinematic intensities with the Lorentz-polarization factor, no thermal factor.

Structural model:
```
data_PrHo2UO8
_cell_length_a 3.909
_cell_length_b 5.325
_cell_length_c 7.673
_cell_angle_alpha 90.00
_cell_angle_beta 90.00
_cell_angle_gamma 90.00
_space_group_name_H-M_alt 'P m m m'
_space_group_IT_number 47
_space_group_name_Hall '-P 2 2'
loop_
_atom_site_label
_atom_site_type_symbol
_atom_site_fract_x
_atom_site_fract_y
_atom_site_fract_z
_atom_site_occupancy
Pr1 Pr 0.000 0.000 0.000 1
Ho1 Ho 0.500 0.500 0.262 1
U1 U 0.000 0.000 0.500 1
O1 O 0.000 0.245 0.278 1
O2 O 0.500 0.233 0.500 1
O3 O 0.500 0.274 0.000 1
```

Top 8 peaks for 2θ = 10–90°, by angle:
2θ/deg, Rel. int., hkl
28.32, 100, 1 1 0
28.68, 94, 0 1 2
32.71, 44, 1 0 2
33.66, 21, 0 2 0
47.64, 65, 1 2 2
55.52, 30, 2 1 2
56.13, 29, 1 1 4
76.65, 18, 2 3 2

***

Record 10
Diffraction record for TmH5. The powder X-ray diffraction pattern is computed, not measured: it uses a PBE-relaxed structure and CuKα.
Kinematic intensities with the Lorentz-polarization factor, no thermal factor.

Structural model:
```
data_TmH5
_cell_length_a 3.424
_cell_length_b 7.096
_cell_length_c 3.434
_cell_angle_alpha 90.00
_cell_angle_beta 90.00
_cell_angle_gamma 90.00
_space_group_name_H-M_alt 'C m m m'
_space_group_IT_number 65
_space_group_name_Hall '-C 2 2'
loop_
_atom_site_label
_atom_site_type_symbol
_atom_site_fract_x
_atom_site_fract_y
_atom_site_fract_z
_atom_site_occupancy
Tm1 Tm 0.000 0.000 0.000 1
H1 H 0.000 0.177 0.500 1
H2 H 0.000 0.308 0.000 1
H3 H 0.000 0.500 0.500 1
```

Top 8 peaks for 2θ = 10–90°, by angle:
2θ/deg, Rel. int., hkl
25.10, 70, 0 2 0
25.95, 66, 0 0 1
28.95, 100, 1 1 0
36.41, 54, 0 2 1
39.27, 90, 1 1 1
46.67, 27, 1 3 0
54.17, 38, 1 3 1
61.85, 24, 1 1 2

***

Record 11
Diffraction record for MgPd6Pb. The powder X-ray diffraction pattern is computed, not measured: it uses a PBE-relaxed structure and CuKα.
Kinematic intensities with the Lorentz-polarization factor, no thermal factor.

Structural model:
```
data_MgPd6Pb
_cell_length_a 5.736
_cell_length_b 5.736
_cell_length_c 4.012
_cell_angle_alpha 90.00
_cell_angle_beta 90.00
_cell_angle_gamma 90.00
_space_group_name_H-M_alt 'P 4/m m m'
_space_group_IT_number 123
_space_group_name_Hall '-P 4 2'
loop_
_atom_site_label
_atom_site_type_symbol
_atom_site_fract_x
_atom_site_fract_y
_atom_site_fract_z
_atom_site_occupancy
Mg1 Mg 0.000 0.000 0.000 1
Pd1 Pd 0.000 0.500 0.000 1
Pd2 Pd 0.244 0.244 0.500 1
Pb1 Pb 0.500 0.500 0.000 1
```

Top 8 peaks for 2θ = 10–90°, by angle:
2θ/deg, Rel. int., hkl
15.45, 15, 1 0 0
27.12, 12, 1 0 1
38.59, 100, 2 0 1
44.69, 33, 2 2 0
45.20, 16, 0 0 2
65.45, 21, 2 2 2
78.25, 25, 4 2 1
79.00, 12, 2 0 3

***

Record 12
Diffraction record for La2Pm3Tm5. The powder X-ray diffraction pattern is computed, not measured: it uses a PBE-relaxed structure and CuKα.
Kinematic intensities with the Lorentz-polarization factor, no thermal factor.

Structural model:
```
data_La2Pm3Tm5
_cell_length_a 10.612
_cell_length_b 16.236
_cell_length_c 9.346
_cell_angle_alpha 90.00
_cell_angle_beta 124.55
_cell_angle_gamma 90.00
_space_group_name_H-M_alt 'C 1 2/c 1'
_space_group_IT_number 15
_space_group_name_Hall '-C 2yc'
loop_
_atom_site_label
_atom_site_type_symbol
_atom_site_fract_x
_atom_site_fract_y
_atom_site_fract_z
_atom_site_occupancy
La1 La 0.144 0.124 0.048 1
Pm1 Pm 0.000 0.271 0.750 1
Pm2 Pm 0.154 0.378 0.547 1
Tm1 Tm 0.000 0.024 0.250 1
Tm2 Tm 0.000 0.230 0.250 1
Tm3 Tm 0.000 0.473 0.750 1
Tm4 Tm 0.237 0.384 0.232 1
```

Top 8 peaks for 2θ = 10–90°, by angle:
2θ/deg, Rel. int., hkl
30.05, 100, 2 4 0
30.74, 86, 2 2 -3
32.05, 19, 0 4 2
33.79, 41, 4 0 -2
47.25, 22, 0 0 4
48.92, 19, 0 6 3
60.77, 22, 4 6 -5
64.75, 20, 2 10 -3